1.
Diffraction record for NaSr5Tl. The powder diffraction line list is calculated, not measured: it uses a crystal structure in Alexandria, relaxed with GGA-PBE and λ = 1.5418 Å (Cu Kα).

Top 8 peaks for 5° ≤ 2θ ≤ 70°, by intensity:
- d 6.822, intensity 100.0
- d 3.271, intensity 93.8
- d 3.424, intensity 87.0
- d 3.409, intensity 84.9
- d 3.830, intensity 60.6
- d 5.414, intensity 49.8
- d 6.416, intensity 45.7
- d 2.979, intensity 40.6

Structural model:
Cell: 7.9114 7.9114 13.3803 Å, 104.17 104.17 60.67°
Fractional coordinates of all 14 atoms:
Na1 0.0795 0.9205 0.7500
Na2 0.9205 0.0795 0.2500
Sr1 0.0172 0.7226 0.4595
Sr2 0.1196 0.4363 0.8578
Sr3 0.2774 0.9828 0.0405
Sr4 0.4268 0.5732 0.2500
Sr5 0.4363 0.1196 0.3578
Sr6 0.5637 0.8804 0.6422
Sr7 0.5732 0.4268 0.7500
Sr8 0.7226 0.0172 0.9595
Sr9 0.8804 0.5637 0.1422
Sr10 0.9828 0.2774 0.5405
Tl1 0.5000 0.5000 0.0000
Tl2 0.5000 0.5000 0.5000

2.
Diffraction record for HfCd4Re2. The powder diffraction line list is calculated, not measured: it uses a crystal structure in Alexandria, relaxed with GGA-PBE and λ = 1.5418 Å (Cu Kα).

Top 8 peaks for 5° ≤ 2θ ≤ 70°, by intensity:
- d 2.691, intensity 100.0
- d 6.873, intensity 75.1
- d 2.448, intensity 72.4
- d 3.805, intensity 71.3
- d 1.811, intensity 58.5
- d 1.903, intensity 36.0
- d 2.506, intensity 26.0
- d 1.502, intensity 15.8

Structural model:
Cell: 7.8561 7.8561 7.8561 Å, 139.94 139.94 57.95°
Fractional coordinates of all 7 atoms:
Hf1 0.0000 0.0000 0.0000
Cd1 0.0000 0.5000 0.5000
Cd2 0.2111 0.2111 0.0000
Cd3 0.5000 0.0000 0.5000
Cd4 0.7889 0.7889 0.0000
Re1 0.4200 0.4200 0.0000
Re2 0.5800 0.5800 0.0000

3.
Diffraction record for Ba2Zn7F18. The powder diffraction line list is calculated, not measured: it uses a crystal structure in Alexandria, relaxed with GGA-PBE and λ = 1.5418 Å (Cu Kα).

Top 8 peaks for 5° ≤ 2θ ≤ 70°, by intensity:
- d 3.412, intensity 100.0
- d 3.168, intensity 71.8
- d 2.280, intensity 59.6
- d 1.784, intensity 55.0
- d 2.856, intensity 52.7
- d 3.149, intensity 44.5
- d 1.462, intensity 40.0
- d 2.846, intensity 33.5

Structural model:
Cell: 7.1467 7.4409 7.6400 Å, 94.23 92.98 116.26°
Fractional coordinates of all 27 atoms:
Ba1 0.1841 0.3102 0.3676
Ba2 0.8159 0.6898 0.6324
Zn1 0.1085 0.7307 0.1233
Zn2 0.3088 0.1302 0.8203
Zn3 0.3203 0.6200 0.8068
Zn4 0.5000 0.0000 0.5000
Zn5 0.6797 0.3800 0.1932
Zn6 0.6912 0.8698 0.1797
Zn7 0.8915 0.2693 0.8767
F1 0.0001 0.0724 0.8131
F2 0.9999 0.9276 0.1869
F3 0.0201 0.4416 0.6771
F4 0.1800 0.4882 0.0262
F5 0.1999 0.8241 0.8784
F6 0.2176 0.9909 0.5576
F7 0.3901 0.2299 0.0736
F8 0.3968 0.3955 0.7128
F9 0.4064 0.8709 0.2387
F10 0.4238 0.7204 0.5739
F11 0.5762 0.2796 0.4261
F12 0.5936 0.1291 0.7613
F13 0.6032 0.6045 0.2872
F14 0.6099 0.7701 0.9264
F15 0.7824 0.0091 0.4424
F16 0.8001 0.1759 0.1216
F17 0.8200 0.5118 0.9738
F18 0.9799 0.5584 0.3229